# 1
This entry pairs a crystal structure of NaLi7Tl4 with its theoretical powder XRD pattern. Radiation: Cu Kα (λ = 1.5418 Å). Structure: a DFT-relaxed cell (PBE, Alexandria).
Lines closer than 0.1° are merged.

Structure:
a b c (Å): 10.845 5.165 10.566
angles (deg): 90.00 118.91 90.00
Space group C2/m (No. 12)
Symmetry-distinct sites (fractional):
Na (0.000, 0.000, 0.000) (multiplicity 2)
Li (0.000, 0.500, 0.000) (multiplicity 2)
Li (0.036, 0.000, 0.371) (multiplicity 4)
Li (0.147, 0.500, 0.538) (multiplicity 4)
Li (0.218, 0.000, 0.914) (multiplicity 4)
Tl (0.105, 0.500, 0.787) (multiplicity 4)
Tl (0.225, 0.500, 0.316) (multiplicity 4)

Top 8 peaks for 2θ from 5° to 70°, by angle:
- 19.2 deg, 4.624 Å, rel. 556
- 19.6 deg, 4.537 Å, rel. 386
- 24.1 deg, 3.693 Å, rel. 1000
- 30.4 deg, 2.936 Å, rel. 452
- 33.9 deg, 2.641 Å, rel. 191
- 34.8 deg, 2.580 Å, rel. 523
- 38.4 deg, 2.344 Å, rel. 304
- 39.4 deg, 2.285 Å, rel. 341

=====

# 2
This entry pairs a crystal structure of Na4LiTl3 with its theoretical powder XRD pattern. Radiation: Cu Kα (λ = 1.5418 Å). Structure: a DFT-relaxed cell (PBE, Alexandria).
Lines closer than 0.1° are merged.

Structure:
a b c (Å): 28.400 4.463 3.635
angles (deg): 90.00 96.84 90.00
Space group C2/m (No. 12)
Symmetry-distinct sites (fractional):
Na (0.092, 0.000, 0.090) (multiplicity 4)
Na (0.214, 0.000, 0.211) (multiplicity 4)
Li (0.000, 0.000, 0.500) (multiplicity 2)
Tl (0.000, 0.500, 0.000) (multiplicity 2)
Tl (0.153, 0.500, 0.650) (multiplicity 4)

Top 8 peaks for 2θ from 5° to 70°, by angle:
- 18.9 deg, 4.700 Å, rel. 939
- 20.1 deg, 4.408 Å, rel. 887
- 26.2 deg, 3.401 Å, rel. 507
- 26.4 deg, 3.380 Å, rel. 508
- 29.9 deg, 2.990 Å, rel. 1000
- 32.4 deg, 2.764 Å, rel. 557
- 34.2 deg, 2.624 Å, rel. 471
- 34.3 deg, 2.611 Å, rel. 442

=====

# 3
This entry pairs a crystal structure of Na2LiTl9 with its theoretical powder XRD pattern. Radiation: Cu Kα (λ = 1.5418 Å). Structure: a DFT-relaxed cell (PBE, Alexandria).
Lines closer than 0.1° are merged.

Structure:
a b c (Å): 4.835 4.835 14.588
angles (deg): 90.00 90.00 90.00
Space group P4/mmm (No. 123)
Symmetry-distinct sites (fractional):
Na (0.000, 0.000, 0.172) (multiplicity 2)
Li (0.000, 0.000, 0.500) (multiplicity 1)
Tl (0.000, 0.500, 0.000) (multiplicity 2)
Tl (0.000, 0.500, 0.342) (multiplicity 4)
Tl (0.500, 0.500, 0.169) (multiplicity 2)
Tl (0.500, 0.500, 0.500) (multiplicity 1)

Top 8 peaks for 2θ from 5° to 70°, by angle:
- 18.3 deg, 4.835 Å, rel. 167
- 26.0 deg, 3.425 Å, rel. 221
- 32.0 deg, 2.797 Å, rel. 1000
- 37.0 deg, 2.431 Å, rel. 165
- 37.2 deg, 2.418 Å, rel. 340
- 53.4 deg, 1.714 Å, rel. 232
- 63.5 deg, 1.465 Å, rel. 131
- 63.8 deg, 1.459 Å, rel. 284

=====

# 4
This entry pairs a crystal structure of NaLi9Tl4 with its theoretical powder XRD pattern. Radiation: Cu Kα (λ = 1.5418 Å). Structure: a DFT-relaxed cell (PBE, Alexandria).
Lines closer than 0.1° are merged.

Structure:
a b c (Å): 9.258 9.258 14.404
angles (deg): 90.00 90.00 90.00
Space group I4/mcm (No. 140)
Symmetry-distinct sites (fractional):
Na (0.000, 0.000, 0.250) (multiplicity 4)
Li (0.000, 0.500, 0.000) (multiplicity 4)
Li (0.072, 0.205, 0.000) (multiplicity 16)
Li (0.127, 0.373, 0.187) (multiplicity 16)
Tl (0.171, 0.329, 0.381) (multiplicity 16)

Top 8 peaks for 2θ from 5° to 70°, by angle:
- 19.2 deg, 4.629 Å, rel. 340
- 22.3 deg, 3.979 Å, rel. 1000
- 24.7 deg, 3.601 Å, rel. 301
- 28.5 deg, 3.135 Å, rel. 392
- 31.5 deg, 2.842 Å, rel. 256
- 38.1 deg, 2.365 Å, rel. 380
- 40.7 deg, 2.219 Å, rel. 290
- 48.8 deg, 1.866 Å, rel. 233